This entry pairs a crystal structure of SmDyCd5 with its computed PXRD pattern. Radiation: Cu Kα (weighted mean of Kα1 and Kα2). Structure: a GGA-PBE-relaxed structure.
Lines closer than 0.1° are merged.

Top 10 peaks for 2θ from 10° to 90°, low angle first:
Position (°2θ), d/Å, I (rel.), hkl
21.45, 4.143, 18, 1 0 1
34.68, 2.587, 56, 2 0 0
35.73, 2.513, 100, 1 1 2
49.86, 1.829, 20, 2 2 0
62.84, 1.479, 37, 3 1 2
64.85, 1.438, 15, 2 0 4
73.16, 1.294, 8, 4 0 0
75.68, 1.257, 10, 2 2 4
83.58, 1.157, 9, 4 2 0
84.19, 1.150, 8, 3 3 2

Crystal structure
```
SmDyCd5
1.0
5.1735 0.0000 0.0000
0.0000 5.1735 0.0000
0.0000 0.0000 6.9174
Sm Dy Cd
1 1 5
direct
0.0000 0.0000 0.0000 Sm
0.5000 0.5000 0.5000 Dy
0.0000 0.5000 0.2695 Cd
0.0000 0.5000 0.7305 Cd
0.5000 0.0000 0.2695 Cd
0.5000 0.0000 0.7305 Cd
0.5000 0.5000 0.0000 Cd
```